[1]
The following is a calculated powder diffraction line list of NpTl2Cl7. It was derived from a cell relaxed with GGA-PBE, using CuKα.
Neutral-atom scattering factors, no anomalous dispersion.

Peak list (10 most intense, 5° ≤ 2θ ≤ 70°, in order of rising 2θ)
| 2θ/deg | I/Imax |
| --- | --- |
| 18.9 | 26 |
| 19.6 | 100 |
| 22.9 | 25 |
| 23.2 | 37 |
| 31.7 | 22 |
| 32.1 | 12 |
| 33.4 | 14 |
| 35.6 | 20 |
| 37.7 | 17 |
| 39.1 | 13 |

Structural model:
```
NpTl2Cl7
1.0
8.7006 -4.2295 0.0000
8.7006 4.2295 0.0000
-7.8951 0.0000 9.0353
Np Tl Cl
2 4 14
direct
0.1199 0.8801 0.7500 Np
0.8801 0.1199 0.2500 Np
0.2418 0.3691 0.1961 Tl
0.3691 0.2418 0.6961 Tl
0.6309 0.7582 0.3039 Tl
0.7582 0.6309 0.8039 Tl
0.0137 0.6592 0.7067 Cl
0.0327 0.7313 0.1162 Cl
0.0693 0.7559 0.4789 Cl
0.2441 0.9307 0.0211 Cl
0.2687 0.9673 0.3838 Cl
0.3408 0.9863 0.7933 Cl
0.4290 0.5710 0.7500 Cl
0.5710 0.4290 0.2500 Cl
0.6592 0.0137 0.2067 Cl
0.7313 0.0327 0.6162 Cl
0.7559 0.0693 0.9789 Cl
0.9307 0.2441 0.5211 Cl
0.9673 0.2687 0.8838 Cl
0.9863 0.3408 0.2933 Cl
```

=====

[2]
The following is a calculated powder diffraction line list of Np2TlCl8. It was derived from a cell relaxed with GGA-PBE, using CuKα.
Neutral-atom scattering factors, no anomalous dispersion.

Peak list (10 most intense, 5° ≤ 2θ ≤ 70°, in order of rising 2θ)
| 2θ/deg | I/Imax |
| --- | --- |
| 19.3 | 63 |
| 21.1 | 88 |
| 21.6 | 79 |
| 22.2 | 45 |
| 23.5 | 100 |
| 33.3 | 38 |
| 34.1 | 39 |
| 38.5 | 58 |
| 39.8 | 38 |
| 42.7 | 41 |

Structural model:
```
Np2TlCl8
1.0
4.2714 -6.3717 0.0000
4.2714 6.3717 0.0000
-0.9429 0.0000 5.3755
Np Tl Cl
2 1 8
direct
0.1791 0.8209 0.0000 Np
0.8209 0.1791 0.0000 Np
0.5000 0.5000 0.5000 Tl
0.0982 0.0982 0.2752 Cl
0.1706 0.4472 0.9252 Cl
0.2372 0.7628 0.5000 Cl
0.4472 0.1706 0.9252 Cl
0.5528 0.8294 0.0748 Cl
0.7628 0.2372 0.5000 Cl
0.8294 0.5528 0.0748 Cl
0.9018 0.9018 0.7248 Cl
```

=====

[3]
The following is a calculated powder diffraction line list of Np2Tl5Cl12. It was derived from a cell relaxed with GGA-PBE, using CuKα.
Neutral-atom scattering factors, no anomalous dispersion.

Peak list (10 most intense, 5° ≤ 2θ ≤ 70°, in order of rising 2θ)
| 2θ/deg | I/Imax |
| --- | --- |
| 16.1 | 75 |
| 17.6 | 48 |
| 19.3 | 100 |
| 20.1 | 91 |
| 23.3 | 66 |
| 28.0 | 56 |
| 28.2 | 53 |
| 36.0 | 45 |
| 39.3 | 55 |
| 43.8 | 43 |

Structural model:
```
Np2Tl5Cl12
1.0
8.7919 -4.1320 0.0000
8.7919 4.1320 0.0000
-3.4706 0.0000 9.8711
Np Tl Cl
2 5 12
direct
0.2500 0.7500 0.0000 Np
0.7500 0.2500 0.0000 Np
0.0000 0.0000 0.5000 Tl
0.2815 0.2815 0.6206 Tl
0.3207 0.3207 0.2335 Tl
0.6793 0.6793 0.7665 Tl
0.7185 0.7185 0.3794 Tl
0.0090 0.0090 0.1753 Cl
0.1011 0.5903 0.9332 Cl
0.1104 0.6005 0.4491 Cl
0.3995 0.8896 0.5509 Cl
0.4097 0.8989 0.0668 Cl
0.4924 0.4924 0.8235 Cl
0.5076 0.5076 0.1765 Cl
0.5903 0.1011 0.9332 Cl
0.6005 0.1104 0.4491 Cl
0.8896 0.3995 0.5509 Cl
0.8989 0.4097 0.0668 Cl
0.9910 0.9910 0.8247 Cl
```

=====

[4]
The following is a calculated powder diffraction line list of NpTl3Cl6. It was derived from a cell relaxed with GGA-PBE, using CuKα.
Neutral-atom scattering factors, no anomalous dispersion.

Peak list (10 most intense, 5° ≤ 2θ ≤ 70°, in order of rising 2θ)
| 2θ/deg | I/Imax |
| --- | --- |
| 21.5 | 38 |
| 22.4 | 94 |
| 23.0 | 100 |
| 23.5 | 40 |
| 32.0 | 39 |
| 32.6 | 27 |
| 39.4 | 23 |
| 40.2 | 28 |
| 41.3 | 25 |
| 47.0 | 19 |

Structural model:
```
NpTl3Cl6
1.0
7.5923 0.0000 0.0000
0.0000 8.2568 0.0000
-7.1918 0.0000 11.0004
Np Tl Cl
2 6 12
direct
0.0000 0.0000 0.0000 Np
0.0000 0.5000 0.5000 Np
0.2862 0.0721 0.7591 Tl
0.2862 0.4279 0.2591 Tl
0.5000 0.0000 0.5000 Tl
0.5000 0.5000 0.0000 Tl
0.7138 0.5721 0.7409 Tl
0.7138 0.9279 0.2409 Tl
0.0932 0.0635 0.2294 Cl
0.0932 0.4365 0.7294 Cl
0.2358 0.7216 0.0761 Cl
0.2358 0.7784 0.5761 Cl
0.3498 0.1715 0.0551 Cl
0.3498 0.3285 0.5551 Cl
0.6502 0.6715 0.4449 Cl
0.6502 0.8285 0.9449 Cl
0.7642 0.2216 0.4239 Cl
0.7642 0.2784 0.9239 Cl
0.9068 0.5635 0.2706 Cl
0.9068 0.9365 0.7706 Cl
```